Starting from a DFT-relaxed cell (GGA-PBE, OQMD), the X-ray powder pattern of Na2CuF6 was computed for a wavelength of 1.5418 Å.

Crystal structure
a = 7.2864 Å, b = 7.2864 Å, c = 7.2864 Å
α = 90.00°, β = 90.00°, γ = 90.00°
Space group Fm-3m (No. 225)
Inequivalent atoms, fractional coordinates:
Na: 0.2500 0.2500 0.2500
Cu: 0.0000 0.0000 0.0000
F: 0.0000 0.0000 0.2504

Principal peaks in the range 10° ≤ 2θ ≤ 90°, sorted by position:
- 2θ = 21.12°, 4.207 Å, I = 100, (1 1 1)
- 2θ = 24.43°, 3.643 Å, I = 42, (2 0 0)
- 2θ = 34.83°, 2.576 Å, I = 54, (2 2 0)
- 2θ = 41.09°, 2.197 Å, I = 53, (3 1 1)
- 2θ = 43.00°, 2.103 Å, I = 28, (2 2 2)
- 2θ = 50.07°, 1.822 Å, I = 77, (4 0 0)
- 2θ = 54.93°, 1.672 Å, I = 21, (3 3 1)
- 2θ = 62.44°, 1.487 Å, I = 20, (4 2 2)
- 2θ = 66.70°, 1.402 Å, I = 15, (3 3 3)
- 2θ = 73.53°, 1.288 Å, I = 38, (4 4 0)